This entry pairs a crystal structure of BaVAsO6 with its computed X-ray diffraction stick pattern. Radiation: Cu Kα (weighted mean of Kα1 and Kα2). Structure: the PBE+U geometry in Alexandria.

Main lines, low angle first (2θ = 10–90°):
19.88 deg, intensity 67.8, hkl 1 1 -1; 24.76 deg, intensity 100.0, hkl 1 0 -2; 24.96 deg, intensity 78.7, hkl 1 2 1; 26.39 deg, intensity 94.3, hkl 1 1 2; 30.02 deg, intensity 48.2, hkl 1 3 0; 31.58 deg, intensity 90.8, hkl 2 1 0; 32.67 deg, intensity 31.8, hkl 0 3 2; 34.47 deg, intensity 39.4, hkl 0 2 3; 39.35 deg, intensity 33.3, hkl 1 4 1; 43.73 deg, intensity 35.0, hkl 2 1 -3

Crystal structure
```
BaVAsO6
1.0
5.8960 0.0000 0.0000
0.0000 10.3470 0.0000
-0.0614 0.0000 9.0297
Ba V As O
4 4 4 24
Direct
0.1380 0.1943 0.0862 Ba
0.1380 0.3057 0.5862 Ba
0.8620 0.6943 0.4138 Ba
0.8620 0.8057 0.9138 Ba
0.3538 0.5914 0.0857 V
0.3538 0.9086 0.5857 V
0.6462 0.0914 0.4143 V
0.6462 0.4086 0.9143 V
0.3460 0.6138 0.7181 As
0.3460 0.8862 0.2181 As
0.6540 0.1138 0.7819 As
0.6540 0.3862 0.2819 As
0.1108 0.6389 0.1616 O
0.1108 0.8611 0.6616 O
0.1116 0.5767 0.6184 O
0.1116 0.9233 0.1184 O
0.2770 0.6733 0.8931 O
0.2770 0.8267 0.3931 O
0.3190 0.0659 0.5250 O
0.3190 0.4341 0.0250 O
0.4755 0.2274 0.8604 O
0.4755 0.2726 0.3604 O
0.4854 0.0348 0.2329 O
0.4854 0.4652 0.7329 O
0.5146 0.5348 0.2671 O
0.5146 0.9652 0.7671 O
0.5245 0.7274 0.6396 O
0.5245 0.7726 0.1396 O
0.6810 0.5659 0.9750 O
0.6810 0.9341 0.4750 O
0.7230 0.1733 0.6069 O
0.7230 0.3267 0.1069 O
0.8884 0.0767 0.8816 O
0.8884 0.4233 0.3816 O
0.8892 0.1389 0.3384 O
0.8892 0.3611 0.8384 O
```

***

This entry pairs a crystal structure of BaVAsO2 with its computed X-ray diffraction stick pattern. Radiation: Cu Kα (weighted mean of Kα1 and Kα2). Structure: the PBE+U geometry in Alexandria.

Main lines, low angle first (2θ = 10–90°):
18.78 deg, intensity 100.0, hkl 0 0 2; 20.64 deg, intensity 19.9, hkl 1 0 0; 22.70 deg, intensity 70.8, hkl 1 0 1; 29.35 deg, intensity 38.0, hkl 1 1 0; 35.08 deg, intensity 47.5, hkl 1 1 2; 35.32 deg, intensity 23.0, hkl 1 0 3; 41.99 deg, intensity 23.6, hkl 2 0 0; 46.37 deg, intensity 34.8, hkl 2 0 2; 48.26 deg, intensity 19.3, hkl 2 1 1; 48.81 deg, intensity 18.7, hkl 1 1 4

Crystal structure
```
BaVAsO2
1.0
4.3036 0.0000 0.0000
0.0000 4.3036 0.0000
0.0000 0.0000 9.4479
Ba V As O
1 1 1 2
Direct
0.0000 0.0000 0.0000 Ba
0.0000 0.0000 0.5000 V
0.5000 0.5000 0.5000 As
0.0000 0.5000 0.0000 O
0.5000 0.0000 0.0000 O
```